Computed PXRD pattern
Compound: NdBiN2O
Radiation: a wavelength of 1.5418 Å
Structure: a crystal structure in OQMD, relaxed with PBE
Lines closer than 0.1° are merged.

Crystal structure
```
NdBiN2O
1.0
5.9831 0.0000 0.0000
0.0000 8.5381 0.0000
0.0000 0.0000 5.8002
Nd Bi N O
4 4 8 4
direct
0.0618 0.2500 0.0214
0.4382 0.7500 0.5214
0.5618 0.2500 0.4786
0.9382 0.7500 0.9786
0.0000 0.0000 0.5000
0.0000 0.5000 0.5000
0.5000 0.0000 0.0000
0.5000 0.5000 0.0000
0.1989 0.5661 0.8032
0.1989 0.9339 0.8032
0.3011 0.0661 0.3032
0.3011 0.4339 0.3032
0.6989 0.5661 0.6968
0.6989 0.9339 0.6968
0.8011 0.0661 0.1968
0.8011 0.4339 0.1968
0.0476 0.7500 0.3723
0.4524 0.2500 0.8723
0.5476 0.7500 0.1277
0.9524 0.2500 0.6277
```

Top 8 peaks for 2θ = 10–90°, low angle first:
2θ = 29.87°, 2.992 Å, I 22, (2 0 0); 2θ = 29.98°, 2.981 Å, I 100, (1 2 1); 2θ = 30.83°, 2.900 Å, I 23, (0 0 2); 2θ = 42.34°, 2.135 Å, I 12, (0 4 0); 2θ = 43.46°, 2.082 Å, I 18, (2 0 2); 2θ = 53.09°, 1.725 Å, I 13, (3 2 1); 2θ = 53.29°, 1.719 Å, I 12, (0 4 2); 2θ = 54.30°, 1.690 Å, I 22, (1 2 3)

---

Computed PXRD pattern
Compound: NdBiN2O
Radiation: a wavelength of 1.5418 Å
Structure: a crystal structure in OQMD, relaxed with PBE
Lines closer than 0.1° are merged.

Crystal structure
```
NdBiN2O
1.0
8.1970 0.0000 0.0000
0.0000 5.9149 0.0000
0.0000 0.0000 6.1085
Nd Bi N O
4 4 8 4
direct
0.0000 0.2344 0.0000
0.0000 0.7656 0.5000
0.5000 0.2606 0.1124
0.5000 0.7394 0.6124
0.2530 0.2643 0.5587
0.2530 0.7357 0.0587
0.7470 0.2643 0.5587
0.7470 0.7357 0.0587
0.0000 0.3622 0.6111
0.0000 0.6378 0.1111
0.3004 0.4255 0.8746
0.3004 0.5745 0.3746
0.5000 0.1234 0.4969
0.5000 0.8766 0.9969
0.6996 0.4255 0.8746
0.6996 0.5745 0.3746
0.1856 0.0510 0.2612
0.1856 0.9490 0.7612
0.8144 0.0510 0.2612
0.8144 0.9490 0.7612
```

Top 8 peaks for 2θ = 10–90°, low angle first:
2θ = 29.24°, 3.054 Å, I 19, (0 0 2); 2θ = 30.28°, 2.951 Å, I 100, (2 1 1); 2θ = 42.55°, 2.125 Å, I 16, (0 2 2); 2θ = 44.20°, 2.049 Å, I 9, (4 0 0); 2θ = 52.51°, 1.743 Å, I 13, (2 1 3); 2θ = 53.73°, 1.706 Å, I 18, (2 3 1); 2θ = 54.48°, 1.684 Å, I 9, (4 2 0); 2θ = 63.02°, 1.475 Å, I 9, (4 2 2)

---

> What is the formula in the first record?

NdBiN2O

---

> What is the formula in the second record?

NdBiN2O

---

Please write out number 1 again, unchanged.
Computed PXRD pattern
Compound: NdBiN2O
Radiation: a wavelength of 1.5418 Å
Structure: a crystal structure in OQMD, relaxed with PBE
Lines closer than 0.1° are merged.

Crystal structure
```
NdBiN2O
1.0
5.9831 0.0000 0.0000
0.0000 8.5381 0.0000
0.0000 0.0000 5.8002
Nd Bi N O
4 4 8 4
direct
0.0618 0.2500 0.0214
0.4382 0.7500 0.5214
0.5618 0.2500 0.4786
0.9382 0.7500 0.9786
0.0000 0.0000 0.5000
0.0000 0.5000 0.5000
0.5000 0.0000 0.0000
0.5000 0.5000 0.0000
0.1989 0.5661 0.8032
0.1989 0.9339 0.8032
0.3011 0.0661 0.3032
0.3011 0.4339 0.3032
0.6989 0.5661 0.6968
0.6989 0.9339 0.6968
0.8011 0.0661 0.1968
0.8011 0.4339 0.1968
0.0476 0.7500 0.3723
0.4524 0.2500 0.8723
0.5476 0.7500 0.1277
0.9524 0.2500 0.6277
```

Top 8 peaks for 2θ = 10–90°, low angle first:
2θ = 29.87°, 2.992 Å, I 22, (2 0 0); 2θ = 29.98°, 2.981 Å, I 100, (1 2 1); 2θ = 30.83°, 2.900 Å, I 23, (0 0 2); 2θ = 42.34°, 2.135 Å, I 12, (0 4 0); 2θ = 43.46°, 2.082 Å, I 18, (2 0 2); 2θ = 53.09°, 1.725 Å, I 13, (3 2 1); 2θ = 53.29°, 1.719 Å, I 12, (0 4 2); 2θ = 54.30°, 1.690 Å, I 22, (1 2 3)